# PuNbCr
Calculated powder X-ray diffraction pattern, Cu Kα (λ = 1.5418 Å). Input: a GGA-PBE-relaxed structure.

Cell and atoms:
```
data_PuNbCr
_cell_length_a 2.9164
_cell_length_b 2.9164
_cell_length_c 22.8340
_cell_angle_alpha 90.00
_cell_angle_beta 90.00
_cell_angle_gamma 120.00
_space_group_name_H-M_alt 'R 3 m'
_space_group_IT_number 160
_space_group_name_Hall 'R 3 -2"'
loop_
_atom_site_label
_atom_site_type_symbol
_atom_site_fract_x
_atom_site_fract_y
_atom_site_fract_z
_atom_site_occupancy
Pu1 Pu 0.0000 0.0000 0.0000 1
Nb1 Nb 0.0000 0.0000 0.8740 1
Cr1 Cr 0.0000 0.0000 0.7695 1
```

Largest 8 diffraction maxima, low angle first, 2θ from 10° to 90°:
| 2θ (°) | d/Å | intensity | (hkl) |
| --- | --- | --- | --- |
| 11.63 | 7.611 | 84 | 0 0 3 |
| 23.37 | 3.806 | 37 | 0 0 6 |
| 35.38 | 2.537 | 40 | 0 0 9 |
| 35.77 | 2.510 | 100 | 1 0 1 |
| 36.43 | 2.466 | 39 | 0 1 2 |
| 45.42 | 1.997 | 38 | 1 0 7 |
| 48.11 | 1.891 | 52 | 0 1 8 |
| 75.15 | 1.264 | 27 | 1 1 9 |